[1]
For SmThRhAu, a structure optimized by DFT (PBE) gives the calculated XRD peak list in this record (Cu Kα).
No peak broadening, texture or thermal motion is included.

Crystal structure
a = 4.1764 Å, b = 6.3014 Å, c = 6.3014 Å
α = 36.67°, β = 90.00°, γ = 90.00°
Element x y z (fractional)
Sm 0.0000 0.0000 0.0000
Th 0.5000 0.7207 0.7207
Rh 0.0000 0.2478 0.2478
Au 0.5000 0.4313 0.4313

Top 10 peaks for 2θ from 10° to 90°, low angle first:
d (Å), 2θ (°), Rel. int.
2.991, 29.9, 42
2.811, 31.8, 30
2.796, 32.0, 100
2.432, 37.0, 23
2.332, 38.6, 75
2.088, 43.3, 26
1.982, 45.8, 22
1.712, 53.5, 17
1.438, 64.9, 16
1.255, 75.8, 16

[2]
For SmYRhAu, a structure optimized by DFT (PBE) gives the calculated XRD peak list in this record (Cu Kα).
No peak broadening, texture or thermal motion is included.

Crystal structure
a = 4.6041 Å, b = 5.6281 Å, c = 5.6281 Å
α = 39.88°, β = 90.00°, γ = 90.00°
Element x y z (fractional)
Sm 0.0000 0.0000 0.0000
Y 0.5000 0.2803 0.2803
Rh 0.0000 0.7344 0.7344
Au 0.5000 0.5621 0.5621

Top 10 peaks for 2θ from 10° to 90°, low angle first:
d (Å), 2θ (°), Rel. int.
5.291, 16.8, 22
2.840, 31.5, 100
2.645, 33.9, 24
2.597, 34.5, 15
2.302, 39.1, 32
2.294, 39.3, 26
2.262, 39.8, 71
1.919, 47.4, 18
1.737, 52.7, 13
1.474, 63.1, 16

[3]
For Sn8Rh3Au2, a structure optimized by DFT (PBE) gives the calculated XRD peak list in this record (Cu Kα).
No peak broadening, texture or thermal motion is included.

Crystal structure
a = 4.5818 Å, b = 8.1137 Å, c = 8.5715 Å
α = 67.10°, β = 89.92°, γ = 89.93°
Element x y z (fractional)
Sn 0.0004 0.1177 0.1214
Sn 0.9996 0.8823 0.8786
Sn 0.0006 0.6504 0.6416
Sn 0.5000 0.1228 0.6040
Sn 0.5003 0.3763 0.8760
Sn 0.4997 0.6237 0.1240
Sn 0.5000 0.8772 0.3960
Sn 0.9994 0.3496 0.3584
Rh 0.0000 0.5000 0.0000
Rh 0.4997 0.2499 0.2276
Rh 0.5003 0.7501 0.7724
Au 0.0000 0.2718 0.7191
Au 0.0000 0.7282 0.2809

Top 10 peaks for 2θ from 10° to 90°, low angle first:
d (Å), 2θ (°), Rel. int.
3.824, 23.3, 32
3.737, 23.8, 17
2.423, 37.1, 100
2.325, 38.7, 51
2.322, 38.8, 47
2.303, 39.1, 44
2.291, 39.3, 49
1.624, 56.7, 31
1.347, 69.8, 17
1.329, 70.9, 18

[4]
For Sr2Sn4RhAu3, a structure optimized by DFT (PBE) gives the calculated XRD peak list in this record (Cu Kα).
No peak broadening, texture or thermal motion is included.

Crystal structure
a = 4.7374 Å, b = 4.7374 Å, c = 11.2300 Å
α = 90.00°, β = 90.00°, γ = 90.00°
Element x y z (fractional)
Sr 0.0000 0.5000 0.2380
Sr 0.5000 0.0000 0.7620
Sn 0.0000 0.0000 0.5000
Sn 0.0000 0.5000 0.8838
Sn 0.5000 0.0000 0.1162
Sn 0.5000 0.5000 0.5000
Rh 0.5000 0.5000 0.0000
Au 0.0000 0.0000 0.0000
Au 0.0000 0.5000 0.6422
Au 0.5000 0.0000 0.3578

Top 10 peaks for 2θ from 10° to 90°, low angle first:
d (Å), 2θ (°), Rel. int.
4.365, 20.3, 42
2.937, 30.4, 53
2.877, 31.1, 100
2.369, 38.0, 90
2.152, 42.0, 70
2.029, 44.7, 28
1.844, 49.4, 28
1.675, 54.8, 31
1.447, 64.4, 29
1.322, 71.4, 30

[5]
For ZnSn2RhAu, a structure optimized by DFT (PBE) gives the calculated XRD peak list in this record (Cu Kα).
No peak broadening, texture or thermal motion is included.

Crystal structure
a = 5.0287 Å, b = 5.0287 Å, c = 4.7291 Å
α = 90.00°, β = 90.00°, γ = 90.00°
Element x y z (fractional)
Zn 0.0000 0.0000 0.0000
Sn 0.0000 0.5000 0.0000
Sn 0.5000 0.0000 0.0000
Rh 0.5000 0.5000 0.5000
Au 0.0000 0.0000 0.5000

Top 10 peaks for 2θ from 10° to 90°, low angle first:
d (Å), 2θ (°), Rel. int.
5.029, 17.6, 23
2.842, 31.5, 100
2.514, 35.7, 61
2.365, 38.1, 26
1.778, 51.4, 22
1.723, 53.2, 39
1.507, 61.5, 31
1.441, 64.7, 13
1.421, 65.7, 21
1.120, 87.0, 13

[6]
For Sr6RhAu, a structure optimized by DFT (PBE) gives the calculated XRD peak list in this record (Cu Kα).
No peak broadening, texture or thermal motion is included.

Crystal structure
a = 7.4619 Å, b = 7.4619 Å, c = 7.5290 Å
α = 98.82°, β = 98.82°, γ = 119.27°
Element x y z (fractional)
Sr 0.0733 0.3953 0.2408
Sr 0.2460 0.2460 0.7607
Sr 0.3953 0.0733 0.2408
Sr 0.6047 0.9267 0.7592
Sr 0.7540 0.7540 0.2393
Sr 0.9267 0.6047 0.7592
Rh 0.0000 0.0000 0.0000
Au 0.5000 0.5000 0.5000

Top 10 peaks for 2θ from 10° to 90°, low angle first:
d (Å), 2θ (°), Rel. int.
6.438, 13.8, 44
5.501, 16.1, 58
4.204, 21.1, 27
3.136, 28.5, 24
3.089, 28.9, 100
3.042, 29.4, 48
2.225, 40.5, 27
2.167, 41.7, 73
2.146, 42.1, 18
1.754, 52.2, 19

[7]
For Sr4RhAu, a structure optimized by DFT (PBE) gives the calculated XRD peak list in this record (Cu Kα).
No peak broadening, texture or thermal motion is included.

Crystal structure
a = 5.2858 Å, b = 5.2858 Å, c = 7.5442 Å
α = 90.04°, β = 90.04°, γ = 90.00°
Element x y z (fractional)
Sr 0.9997 0.4998 0.2378
Sr 0.0003 0.5002 0.7622
Sr 0.4998 0.9997 0.2378
Sr 0.5002 0.0003 0.7622
Rh 0.0000 0.0000 0.0000
Au 0.5000 0.5000 0.5000

Top 10 peaks for 2θ from 10° to 90°, low angle first:
d (Å), 2θ (°), Rel. int.
4.329, 20.5, 75
2.655, 33.8, 100
2.643, 33.9, 50
2.271, 39.7, 14
2.256, 40.0, 27
1.869, 48.7, 18
1.722, 53.2, 12
1.535, 60.3, 18
1.528, 60.6, 37
1.327, 71.0, 11

[8]
For Tb4Rh2Au, a structure optimized by DFT (PBE) gives the calculated XRD peak list in this record (Cu Kα).
No peak broadening, texture or thermal motion is included.

Crystal structure
a = 7.6117 Å, b = 7.5550 Å, c = 8.8096 Å
α = 54.79°, β = 54.19°, γ = 71.02°
Element x y z (fractional)
Tb 0.0765 0.2104 0.0390
Tb 0.2104 0.0765 0.6742
Tb 0.2110 0.5758 0.1735
Tb 0.3182 0.6818 0.4384
Tb 0.5758 0.2110 0.0396
Tb 0.6818 0.3182 0.5616
Tb 0.6884 0.8116 0.5682
Tb 0.8116 0.6884 0.9318
Rh 0.3190 0.5761 0.8040
Rh 0.4460 0.9491 0.9310
Rh 0.5761 0.3190 0.3009
Rh 0.9491 0.4460 0.6739
Au 0.0739 0.0739 0.4261
Au 0.8239 0.8239 0.1761

Top 10 peaks for 2θ from 10° to 90°, low angle first:
d (Å), 2θ (°), Rel. int.
3.086, 28.9, 18
2.795, 32.0, 25
2.779, 32.2, 100
2.740, 32.7, 67
2.362, 38.1, 24
2.347, 38.3, 23
2.338, 38.5, 45
1.718, 53.3, 16
1.431, 65.2, 11
1.426, 65.4, 11

[9]
For Tb4RhAu3, a structure optimized by DFT (PBE) gives the calculated XRD peak list in this record (Cu Kα).
No peak broadening, texture or thermal motion is included.

Crystal structure
a = 3.7566 Å, b = 4.6501 Å, c = 10.8156 Å
α = 90.00°, β = 90.00°, γ = 90.00°
Element x y z (fractional)
Tb 0.0000 0.0000 0.0000
Tb 0.0000 0.5000 0.2623
Tb 0.5000 0.0000 0.4724
Tb 0.5000 0.5000 0.7667
Rh 0.5000 0.0000 0.2153
Au 0.0000 0.0000 0.7157
Au 0.0000 0.5000 0.5391
Au 0.5000 0.5000 0.0416

Top 10 peaks for 2θ from 10° to 90°, low angle first:
d (Å), 2θ (°), Rel. int.
2.821, 31.7, 100
2.704, 33.1, 30
2.601, 34.5, 14
2.337, 38.5, 25
2.325, 38.7, 36
2.270, 39.7, 76
1.878, 48.5, 19
1.763, 51.9, 17
1.461, 63.7, 21
1.332, 70.8, 15

[10]
For Tb5RhAu2, a structure optimized by DFT (PBE) gives the calculated XRD peak list in this record (Cu Kα).
No peak broadening, texture or thermal motion is included.

Crystal structure
a = 7.3630 Å, b = 11.6468 Å, c = 4.7814 Å
α = 90.00°, β = 90.00°, γ = 90.00°
Element x y z (fractional)
Tb 0.0000 0.0000 0.0000
Tb 0.1535 0.2936 0.0000
Tb 0.1804 0.5859 0.5000
Tb 0.3196 0.0859 0.5000
Tb 0.3465 0.7936 0.0000
Tb 0.5000 0.5000 0.0000
Tb 0.6535 0.2064 0.0000
Tb 0.6804 0.9141 0.5000
Tb 0.8196 0.4141 0.5000
Tb 0.8465 0.7064 0.0000
Rh 0.0000 0.5000 0.0000
Rh 0.5000 0.0000 0.0000
Au 0.0689 0.8376 0.5000
Au 0.4311 0.3376 0.5000
Au 0.5689 0.6624 0.5000
Au 0.9311 0.1624 0.5000

Top 10 peaks for 2θ from 10° to 90°, low angle first:
d (Å), 2θ (°), Rel. int.
3.303, 27.0, 19
2.830, 31.6, 100
2.789, 32.1, 62
2.708, 33.1, 36
2.671, 33.5, 21
2.608, 34.4, 59
2.487, 36.1, 53
2.391, 37.6, 59
1.792, 51.0, 22
1.368, 68.6, 19

[11]
For Tb8Rh3Au2, a structure optimized by DFT (PBE) gives the calculated XRD peak list in this record (Cu Kα).
No peak broadening, texture or thermal motion is included.

Crystal structure
a = 8.5386 Å, b = 8.5386 Å, c = 4.9098 Å
α = 90.00°, β = 90.00°, γ = 109.33°
Element x y z (fractional)
Tb 0.1193 0.8807 0.0000
Tb 0.1326 0.3727 0.5000
Tb 0.3727 0.1326 0.5000
Tb 0.3791 0.6209 0.0000
Tb 0.6209 0.3791 0.0000
Tb 0.6273 0.8674 0.5000
Tb 0.8674 0.6273 0.5000
Tb 0.8807 0.1193 0.0000
Rh 0.2500 0.2500 0.0000
Rh 0.5000 0.5000 0.5000
Rh 0.7500 0.7500 0.0000
Au 0.2455 0.7545 0.5000
Au 0.7545 0.2455 0.5000

Top 10 peaks for 2θ from 10° to 90°, low angle first:
d (Å), 2θ (°), Rel. int.
4.021, 22.1, 23
3.482, 25.6, 14
2.469, 36.4, 25
2.462, 36.5, 100
2.455, 36.6, 25
1.741, 52.6, 26
1.424, 65.6, 27
1.419, 65.8, 27
1.231, 77.5, 11
1.101, 88.9, 16

[12]
For TcRhAu, a structure optimized by DFT (PBE) gives the calculated XRD peak list in this record (Cu Kα).
No peak broadening, texture or thermal motion is included.

Crystal structure
a = 2.7668 Å, b = 2.7668 Å, c = 12.2206 Å
α = 90.00°, β = 90.00°, γ = 90.00°
Element x y z (fractional)
Tc 0.2500 0.2500 0.0846
Tc 0.7500 0.7500 0.9154
Rh 0.2500 0.2500 0.7712
Rh 0.7500 0.7500 0.2288
Au 0.2500 0.2500 0.4061
Au 0.7500 0.7500 0.5939

Top 10 peaks for 2θ from 10° to 90°, low angle first:
d (Å), 2θ (°), Rel. int.
2.520, 35.6, 13
2.444, 36.8, 6
2.289, 39.4, 100
2.037, 44.5, 15
1.956, 46.4, 33
1.411, 66.2, 18
1.383, 67.7, 11
1.219, 78.5, 8
1.184, 81.3, 24
1.144, 84.7, 9